# Al4TlSi
Computed XRD peak list, λ = 1.5418 Å (Cu Kα). Input: a crystal structure in Alexandria, relaxed with PBE.
Neutral-atom scattering factors, no anomalous dispersion.

Peak list (10 most intense, 5° ≤ 2θ ≤ 70°, in order of rising 2θ)
- (1 1 1), 19.79°, I = 724
- (2 0 0), 22.89°, I = 445
- (2 2 0), 32.60°, I = 666
- (3 1 1), 38.42°, I = 1000
- (2 2 2), 40.21°, I = 198
- (3 3 1), 51.25°, I = 195
- (4 2 0), 52.68°, I = 197
- (4 2 2), 58.17°, I = 259
- (5 1 1), 62.07°, I = 333
- (4 4 0), 68.29°, I = 171

Crystal structure
Unit cell a=7.770 b=7.770 c=7.770 alpha=90.00 beta=90.00 gamma=90.00
Space group F-43m (No. 216)
Symmetry-distinct sites (fractional):
Al 0.124 0.124 0.124 x16
Tl 0.000 0.000 0.500 x4
Si 0.250 0.250 0.750 x4